Diffraction record for CaAg2MoF8. The PXRD pattern is simulated, not measured: it uses DFT lattice parameters and positions (PBE+U) and a wavelength of 1.5418 Å.
No peak broadening, texture or thermal motion is included.

Structure:
```
CaAg2MoF8
1.0
4.7132 0.0000 0.0000
0.3573 5.8172 0.0000
0.0275 0.0227 7.2092
Ca Ag Mo F
1 2 1 8
Direct
0.0000 0.0000 0.0000
0.4985 0.4942 0.7546
0.5015 0.5058 0.2454
0.0000 0.0000 0.5000
0.1418 0.1829 0.7203
0.1473 0.1789 0.2854
0.3352 0.7782 0.4991
0.3699 0.7534 0.9942
0.6301 0.2466 0.0058
0.6648 0.2218 0.5009
0.8527 0.8211 0.7146
0.8582 0.8171 0.2797
```

The 6 most intense peaks (2θ from 15° to 90°), by angle:
23.6 deg, rel. 100, hkl 1 1 0
25.1 deg, rel. 81, hkl 1 -1 0
29.1 deg, rel. 90, hkl 0 1 -2
43.4 deg, rel. 30, hkl 1 2 2
43.6 deg, rel. 30, hkl 1 2 -2
45.3 deg, rel. 32, hkl -1 2 2